This entry pairs a crystal structure of NiTeAu2 with its simulated powder diffraction line list. Radiation: Cu Kα. Structure: a GGA-PBE-relaxed structure.

Cell and atoms:
Lattice parameters (Å, degrees): 4.718 4.718 4.718 60.00 60.00 60.00
Fractional positions:
Ni  0.000  0.000  0.000
Te  0.250  0.250  0.250
Au  0.500  0.500  0.500
Au  0.750  0.750  0.750

Main lines, by angle (15° ≤ 2θ ≤ 90°):
2θ = 23.1°, intensity 155
2θ = 38.2°, intensity 1000
2θ = 45.1°, intensity 88
2θ = 55.1°, intensity 173
2θ = 60.5°, intensity 38
2θ = 69.0°, intensity 352
2θ = 81.6°, intensity 112
2θ = 86.2°, intensity 32


This entry pairs a crystal structure of Zr3Zn3Ni2Au with its simulated powder diffraction line list. Radiation: Cu Kα. Structure: a GGA-PBE-relaxed structure.

Cell and atoms:
Lattice parameters (Å, degrees): 7.099 7.099 3.447 90.00 90.00 120.00
Fractional positions:
Zr  0.000  0.408  0.000
Zr  0.408  0.000  0.000
Zr  0.592  0.592  0.000
Zn  0.000  0.721  0.500
Zn  0.279  0.279  0.500
Zn  0.721  0.000  0.500
Ni  0.333  0.667  0.500
Ni  0.667  0.333  0.500
Au  0.000  0.000  0.000

Main lines, by angle (15° ≤ 2θ ≤ 90°):
2θ = 29.0°, intensity 262
2θ = 36.3°, intensity 644
2θ = 38.7°, intensity 247
2θ = 39.3°, intensity 1000
2θ = 44.2°, intensity 521
2θ = 47.2°, intensity 386
2θ = 71.5°, intensity 238
2θ = 72.4°, intensity 343


This entry pairs a crystal structure of PAuO4 with its simulated powder diffraction line list. Radiation: Cu Kα. Structure: a GGA-PBE-relaxed structure.

Cell and atoms:
Lattice parameters (Å, degrees): 3.879 4.600 5.311 69.45 70.04 82.46
Fractional positions:
P  0.000  0.000  0.000
Au  0.270  0.997  0.470
O  0.146  0.774  0.240
O  0.304  0.211  0.739
O  0.686  0.210  0.117
O  0.891  0.802  0.851

Main lines, by angle (15° ≤ 2θ ≤ 90°):
2θ = 18.8°, intensity 382
2θ = 20.6°, intensity 1000
2θ = 22.9°, intensity 276
2θ = 24.4°, intensity 435
2θ = 25.7°, intensity 453
2θ = 32.4°, intensity 436
2θ = 36.9°, intensity 347
2θ = 38.2°, intensity 214


This entry pairs a crystal structure of PAuO4 with its simulated powder diffraction line list. Radiation: Cu Kα. Structure: a GGA-PBE-relaxed structure.

Cell and atoms:
Lattice parameters (Å, degrees): 4.674 4.674 5.811 128.32 128.32 56.85
Fractional positions:
P  0.000  0.000  0.000
Au  0.250  0.750  0.500
O  0.082  0.671  0.699
O  0.329  0.918  0.301
O  0.616  0.028  0.946
O  0.972  0.384  0.054

Main lines, by angle (15° ≤ 2θ ≤ 90°):
2θ = 21.6°, intensity 318
2θ = 25.2°, intensity 1000
2θ = 30.7°, intensity 296
2θ = 40.1°, intensity 315
2θ = 40.2°, intensity 177
2θ = 46.4°, intensity 201
2θ = 65.8°, intensity 98
2θ = 65.9°, intensity 97


This entry pairs a crystal structure of RbPAuO with its simulated powder diffraction line list. Radiation: Cu Kα. Structure: a GGA-PBE-relaxed structure.

Cell and atoms:
Lattice parameters (Å, degrees): 3.449 10.400 4.694 90.00 90.00 90.00
Fractional positions:
Rb  0.000  0.112  0.000
Rb  0.000  0.888  0.500
P  0.000  0.475  0.476
P  0.000  0.525  0.976
Au  0.500  0.317  0.488
Au  0.500  0.683  0.988
O  0.500  0.127  0.501
O  0.500  0.873  0.001

Main lines, by angle (15° ≤ 2θ ≤ 90°):
2θ = 20.8°, intensity 540
2θ = 25.6°, intensity 844
2θ = 31.1°, intensity 311
2θ = 33.4°, intensity 1000
2θ = 36.8°, intensity 420
2θ = 38.4°, intensity 313
2θ = 47.9°, intensity 369
2θ = 54.2°, intensity 264


This entry pairs a crystal structure of PaAuO3 with its simulated powder diffraction line list. Radiation: Cu Kα. Structure: a GGA-PBE-relaxed structure.

Cell and atoms:
Lattice parameters (Å, degrees): 6.963 7.271 6.417 90.00 90.00 90.00
Fractional positions:
Pa  0.036  0.250  0.062
Pa  0.464  0.750  0.562
Pa  0.536  0.250  0.438
Pa  0.964  0.750  0.938
Au  0.000  0.000  0.500
Au  0.000  0.500  0.500
Au  0.500  0.000  0.000
Au  0.500  0.500  0.000
O  0.023  0.551  0.190
O  0.023  0.949  0.190
O  0.230  0.750  0.781
O  0.270  0.250  0.281
O  0.477  0.051  0.690
O  0.477  0.449  0.690
O  0.523  0.551  0.310
O  0.523  0.949  0.310
O  0.730  0.750  0.719
O  0.770  0.250  0.219
O  0.977  0.051  0.810
O  0.977  0.449  0.810

Main lines, by angle (15° ≤ 2θ ≤ 90°):
2θ = 25.6°, intensity 462
2θ = 27.8°, intensity 215
2θ = 31.1°, intensity 1000
2θ = 33.1°, intensity 120
2θ = 38.1°, intensity 213
2θ = 48.7°, intensity 239
2θ = 51.3°, intensity 152
2θ = 64.7°, intensity 101


This entry pairs a crystal structure of PbAuO2 with its simulated powder diffraction line list. Radiation: Cu Kα. Structure: a GGA-PBE-relaxed structure.

Cell and atoms:
Lattice parameters (Å, degrees): 3.663 5.600 6.896 87.24 82.53 88.86
Fractional positions:
Pb  0.177  0.497  0.243
Pb  0.823  0.503  0.757
Au  0.500  0.000  0.000
Au  0.500  0.000  0.500
O  0.281  0.687  0.935
O  0.380  0.181  0.750
O  0.620  0.819  0.250
O  0.719  0.313  0.065

Main lines, by angle (15° ≤ 2θ ≤ 90°):
2θ = 29.1°, intensity 524
2θ = 29.5°, intensity 522
2θ = 30.0°, intensity 818
2θ = 31.3°, intensity 1000
2θ = 32.0°, intensity 701
2θ = 33.6°, intensity 458
2θ = 38.4°, intensity 226
2θ = 55.0°, intensity 289


This entry pairs a crystal structure of Pd2AuO4 with its simulated powder diffraction line list. Radiation: Cu Kα. Structure: a GGA-PBE-relaxed structure.

Cell and atoms:
Lattice parameters (Å, degrees): 6.327 6.327 6.327 60.00 60.00 60.00
Fractional positions:
Pd  0.000  0.000  0.000
Pd  0.000  0.000  0.500
Pd  0.000  0.500  0.000
Pd  0.500  0.000  0.000
Au  0.375  0.375  0.375
Au  0.625  0.625  0.625
O  0.194  0.769  0.769
O  0.231  0.231  0.231
O  0.231  0.231  0.806
O  0.231  0.806  0.231
O  0.769  0.194  0.769
O  0.769  0.769  0.194
O  0.769  0.769  0.769
O  0.806  0.231  0.231

Main lines, by angle (15° ≤ 2θ ≤ 90°):
2θ = 28.2°, intensity 517
2θ = 33.2°, intensity 1000
2θ = 34.7°, intensity 119
2θ = 49.9°, intensity 207
2θ = 53.2°, intensity 393
2θ = 58.3°, intensity 348
2θ = 68.8°, intensity 126
2θ = 82.9°, intensity 217


Q: Number 8 is which compound?
A: Pd2AuO4